Computed powder X-ray diffraction pattern of HfZr3Pb for CuKα, from a PBE-relaxed structure.
Lines closer than 0.1° are merged.

```
data_HfZr3Pb
_chemical_formula_sum 'Hf8 Zr24 Pb8'
_space_group_name_H-M_alt 'C 1 2/c 1'
_space_group_IT_number 15
_cell_length_a 11.5469
_cell_length_b 10.6592
_cell_length_c 8.3933
_cell_angle_alpha 90.00
_cell_angle_beta 115.85
_cell_angle_gamma 90.00
loop_
_space_group_symop_operation_xyz
'x,y,z'
'-x,-y,-z'
'-x,y,-z+1/2'
'x,-y,z+1/2'
'x+1/2,y+1/2,z'
'-x+1/2,-y+1/2,-z'
'-x+1/2,y+1/2,-z+1/2'
'x+1/2,-y+1/2,z+1/2'
loop_
_atom_site_label
_atom_site_type_symbol
_atom_site_fract_x
_atom_site_fract_y
_atom_site_fract_z
_atom_site_occupancy
Hf1 Hf 0.0995 0.1693 0.1805 1
Zr1 Zr 0.1155 0.3372 0.6294 1
Zr2 Zr 0.1923 0.3780 0.0359 1
Zr3 Zr 0.1959 0.0867 0.5656 1
Pb1 Pb 0.0000 0.1062 0.7500 1
Pb2 Pb 0.0000 0.4344 0.2500 1
```

Most intense lines, 2θ from 15° to 90°, low angle first:
Position (°2θ)  I_rel  hkl
33.63  26  0 4 0
34.93  67  2 0 2
35.51  100  4 2 -1
35.73  44  0 4 1
36.30  90  2 2 -3
42.15  22  2 4 1



Computed powder X-ray diffraction pattern of Ce7Tl2Ir2 for CuKα, from a PBE-relaxed structure.
Lines closer than 0.1° are merged.

```
data_Ce7Tl2Ir2
_chemical_formula_sum 'Ce14 Tl4 Ir4'
_space_group_name_H-M_alt 'C 1 2/m 1'
_space_group_IT_number 12
_cell_length_a 8.4453
_cell_length_b 10.2467
_cell_length_c 6.8941
_cell_angle_alpha 90.00
_cell_angle_beta 102.28
_cell_angle_gamma 90.00
loop_
_space_group_symop_operation_xyz
'x,y,z'
'-x,-y,-z'
'-x,y,-z'
'x,-y,z'
'x+1/2,y+1/2,z'
'-x+1/2,-y+1/2,-z'
'-x+1/2,y+1/2,-z'
'x+1/2,-y+1/2,z'
loop_
_atom_site_label
_atom_site_type_symbol
_atom_site_fract_x
_atom_site_fract_y
_atom_site_fract_z
_atom_site_occupancy
Ce1 Ce 0.0000 0.0000 0.0000 1
Ce2 Ce 0.1320 0.5000 0.3640 1
Ce3 Ce 0.2131 0.2302 0.1807 1
Tl1 Tl 0.0000 0.1553 0.5000 1
Ir1 Ir 0.1557 0.5000 0.9547 1
```

Most intense lines, 2θ from 15° to 90°, low angle first:
Position (°2θ)  I_rel  hkl
27.65  69  2 0 1
27.79  77  1 1 -2
28.28  73  1 3 0
33.74  79  3 1 0
35.26  100  2 2 -2
44.03  76  0 2 3



Computed powder X-ray diffraction pattern of Rb2NaHg16 for CuKα, from a PBE-relaxed structure.
Lines closer than 0.1° are merged.

```
data_Rb2NaHg16
_chemical_formula_sum 'Rb6 Na3 Hg48'
_space_group_name_H-M_alt 'R 3 m'
_space_group_IT_number 160
_space_group_name_Hall 'R 3 -2"'
_cell_length_a 10.6874
_cell_length_b 10.6874
_cell_length_c 17.4982
_cell_angle_alpha 90.00
_cell_angle_beta 90.00
_cell_angle_gamma 120.00
loop_
_atom_site_label
_atom_site_type_symbol
_atom_site_fract_x
_atom_site_fract_y
_atom_site_fract_z
_atom_site_occupancy
Rb1 Rb 0.0000 0.0000 0.0000 1
Rb2 Rb 0.0000 0.0000 0.3377 1
Na1 Na 0.0000 0.0000 0.7498 1
Hg1 Hg 0.0000 0.0000 0.5619 1
Hg2 Hg 0.9996 0.2934 0.6666 1
Hg3 Hg 0.0195 0.5097 0.8066 1
Hg4 Hg 0.1698 0.3395 0.8655 1
Hg5 Hg 0.1711 0.3421 0.4974 1
```

Most intense lines, 2θ from 15° to 90°, low angle first:
Position (°2θ)  I_rel  hkl
16.59  48  1 1 0
30.66  37  0 0 6
32.06  50  2 0 5
32.84  94  0 3 3
33.54  45  2 2 0
37.01  100  2 2 3



Copy entry 1 word for word.
Computed powder X-ray diffraction pattern of HfZr3Pb for CuKα, from a PBE-relaxed structure.
Lines closer than 0.1° are merged.

```
data_HfZr3Pb
_chemical_formula_sum 'Hf8 Zr24 Pb8'
_space_group_name_H-M_alt 'C 1 2/c 1'
_space_group_IT_number 15
_cell_length_a 11.5469
_cell_length_b 10.6592
_cell_length_c 8.3933
_cell_angle_alpha 90.00
_cell_angle_beta 115.85
_cell_angle_gamma 90.00
loop_
_space_group_symop_operation_xyz
'x,y,z'
'-x,-y,-z'
'-x,y,-z+1/2'
'x,-y,z+1/2'
'x+1/2,y+1/2,z'
'-x+1/2,-y+1/2,-z'
'-x+1/2,y+1/2,-z+1/2'
'x+1/2,-y+1/2,z+1/2'
loop_
_atom_site_label
_atom_site_type_symbol
_atom_site_fract_x
_atom_site_fract_y
_atom_site_fract_z
_atom_site_occupancy
Hf1 Hf 0.0995 0.1693 0.1805 1
Zr1 Zr 0.1155 0.3372 0.6294 1
Zr2 Zr 0.1923 0.3780 0.0359 1
Zr3 Zr 0.1959 0.0867 0.5656 1
Pb1 Pb 0.0000 0.1062 0.7500 1
Pb2 Pb 0.0000 0.4344 0.2500 1
```

Most intense lines, 2θ from 15° to 90°, low angle first:
Position (°2θ)  I_rel  hkl
33.63  26  0 4 0
34.93  67  2 0 2
35.51  100  4 2 -1
35.73  44  0 4 1
36.30  90  2 2 -3
42.15  22  2 4 1